Calculated powder diffractogram
Compound: Ti6Zn5Ga
Radiation: copper Kα
Structure: DFT lattice parameters and positions (PBE)
Intensities are scaled so that the largest is 100.

Largest 10 diffraction maxima, low angle first, 15 to 90 degrees two-theta:
Position (°2θ)  Rel. int.
27.51  3
28.80  5
40.24  100
41.18  47
56.78  9
59.65  14
72.51  15
74.42  29
86.95  9
89.39  4

Atomic structure:
```
Ti6Zn5Ga
1.0
2.1918 -6.5779 0.0000
2.1918 6.5779 0.0000
0.0000 0.0000 6.4855
Ti Zn Ga
6 5 1
direct
0.0000 0.0000 0.2495
0.0000 0.0000 0.7505
0.3335 0.6665 0.2480
0.3335 0.6665 0.7520
0.6665 0.3335 0.2480
0.6665 0.3335 0.7520
0.1665 0.8335 0.0000
0.1701 0.8299 0.5000
0.5000 0.5000 0.0000
0.8299 0.1701 0.5000
0.8335 0.1665 0.0000
0.5000 0.5000 0.5000
```


Calculated powder diffractogram
Compound: Ti3Zn3Ga2
Radiation: copper Kα
Structure: DFT lattice parameters and positions (PBE)
Intensities are scaled so that the largest is 100.

Largest 10 diffraction maxima, low angle first, 15 to 90 degrees two-theta:
Position (°2θ)  Rel. int.
36.48  23
36.90  22
38.58  20
39.50  45
42.17  18
42.85  100
51.79  9
57.80  11
69.38  10
78.50  10

Atomic structure:
```
Ti3Zn3Ga2
1.0
4.2213 0.0000 0.0000
0.0000 10.8223 0.0000
0.0000 0.0000 5.6007
Ti Zn Ga
6 6 4
direct
0.2500 0.0973 0.0844
0.2500 0.4027 0.0844
0.2500 0.7500 0.7839
0.7500 0.2500 0.2161
0.7500 0.5973 0.9156
0.7500 0.9027 0.9156
0.2500 0.2500 0.5160
0.2500 0.5016 0.6362
0.2500 0.9984 0.6362
0.7500 0.0016 0.3638
0.7500 0.4984 0.3638
0.7500 0.7500 0.4840
0.2500 0.6359 0.2442
0.2500 0.8641 0.2442
0.7500 0.1359 0.7558
0.7500 0.3641 0.7558
```


Calculated powder diffractogram
Compound: Ti4ZnGa2
Radiation: copper Kα
Structure: DFT lattice parameters and positions (PBE)
Intensities are scaled so that the largest is 100.

Largest 10 diffraction maxima, low angle first, 15 to 90 degrees two-theta:
Position (°2θ)  Rel. int.
33.57  48
37.76  78
38.39  100
39.25  83
40.98  54
41.41  72
42.23  34
43.58  19
51.90  21
83.29  19

Atomic structure:
```
Ti4ZnGa2
1.0
4.7826 0.0000 0.0000
0.0000 5.3396 0.0000
-1.6093 0.0000 8.9755
Ti Zn Ga
8 2 4
direct
0.1466 0.2500 0.1250
0.2470 0.7500 0.4413
0.3324 0.5059 0.7218
0.3324 0.9941 0.7218
0.6676 0.0059 0.2782
0.6676 0.4941 0.2782
0.7530 0.2500 0.5587
0.8534 0.7500 0.8750
0.0731 0.7500 0.1669
0.9269 0.2500 0.8331
0.2108 0.2500 0.4240
0.4031 0.7500 0.9987
0.5969 0.2500 0.0013
0.7892 0.7500 0.5760
```


Calculated powder diffractogram
Compound: Ti2Zn3Ga3
Radiation: copper Kα
Structure: DFT lattice parameters and positions (PBE)
Intensities are scaled so that the largest is 100.

Largest 10 diffraction maxima, low angle first, 15 to 90 degrees two-theta:
Position (°2θ)  Rel. int.
39.73  100
45.48  17
46.34  16
46.77  15
66.95  10
67.29  10
80.13  11
81.39  11
82.01  11
85.62  10

Atomic structure:
```
Ti2Zn3Ga3
1.0
3.8846 0.0000 0.0000
0.0000 3.9184 0.0000
0.0000 0.0000 7.9778
Ti Zn Ga
2 3 3
direct
0.0000 0.0000 0.2451
0.0000 0.0000 0.7549
0.0000 0.5000 0.0000
0.0000 0.5000 0.5000
0.5000 0.0000 0.5000
0.5000 0.0000 0.0000
0.5000 0.5000 0.2570
0.5000 0.5000 0.7430
```


What is the formula in the third record? Ti4ZnGa2


Number 1 is which compound? Ti6Zn5Ga


Number 2 is which compound? Ti3Zn3Ga2